For NaPaMn2O8, a crystal structure in Alexandria, relaxed with PBE+U gives the theoretical X-ray diffraction stick pattern in this record (Cu Kα (λ = 1.5418 Å)).
Peak positions follow from Bragg's law for the DFT cell and can differ from measured ones.

Largest 8 diffraction maxima, in order of rising 2θ, 10 to 90 degrees two-theta:
17.45°, d 5.081, I = 64
18.76°, d 4.729, I = 74
24.78°, d 3.593, I = 100
31.27°, d 2.861, I = 33
33.55°, d 2.671, I = 66
35.33°, d 2.541, I = 20
38.06°, d 2.364, I = 20
49.51°, d 1.841, I = 59

Cell and atoms:
```
NaPaMn2O8
1.0
-3.5929 3.5929 3.1403
3.5929 -3.5929 3.1403
3.5929 3.5929 -3.1403
Na Pa Mn O
1 1 2 8
Direct
0.0000 0.0000 0.0000
0.7500 0.2500 0.5000
0.2500 0.7500 0.5000
0.5000 0.5000 0.0000
0.0619 0.3883 0.3264
0.0619 0.7355 0.6736
0.1454 0.3380 0.8075
0.2645 0.9381 0.3264
0.5305 0.3380 0.1925
0.6117 0.9381 0.6736
0.6620 0.4695 0.8075
0.6620 0.8546 0.1925
```